# 1
Si7Tc4: calculated powder diffraction line list (Cu Ka), based on DFT lattice parameters and positions (PBE).
Lines closer than 0.1° are merged.

Top 10 peaks for 2θ = 10–90°, in order of falling intensity:
2θ = 40.2°, I 100; 2θ = 24.9°, I 77; 2θ = 45.7°, I 60; 2θ = 31.0°, I 42; 2θ = 51.6°, I 37; 2θ = 44.4°, I 36; 2θ = 65.6°, I 23; 2θ = 73.4°, I 16; 2θ = 82.7°, I 15; 2θ = 70.4°, I 14

Structure:
```
Si7Tc4
1.0
5.770 0.000 0.000
0.000 5.770 0.000
0.000 0.000 18.179
Si Tc
28 16
Cartesian
0.870 1.118 2.079 Si
0.870 4.653 11.169 Si
0.883 1.893 14.844 Si
0.883 3.877 5.754 Si
1.118 0.870 7.010 Si
1.118 4.900 16.100 Si
1.319 2.011 9.810 Si
1.319 3.759 0.721 Si
1.893 0.883 12.425 Si
1.893 4.887 3.335 Si
1.963 1.963 4.545 Si
1.963 3.807 13.634 Si
2.011 1.319 17.458 Si
2.011 4.451 8.369 Si
3.759 1.319 8.369 Si
3.759 4.451 17.458 Si
3.807 1.963 13.634 Si
3.807 3.807 4.545 Si
3.877 0.883 3.335 Si
3.877 4.887 12.425 Si
4.451 2.011 0.721 Si
4.451 3.759 9.810 Si
4.653 0.870 16.100 Si
4.653 4.900 7.010 Si
4.887 1.893 5.754 Si
4.887 3.877 14.844 Si
4.900 1.118 11.169 Si
4.900 4.653 2.079 Si
0.000 0.000 0.000 Tc
0.000 0.000 4.545 Tc
0.000 0.000 9.089 Tc
0.000 0.000 13.634 Tc
0.000 2.885 3.499 Tc
0.000 2.885 7.911 Tc
0.000 2.885 12.588 Tc
0.000 2.885 17.001 Tc
2.885 0.000 1.178 Tc
2.885 0.000 5.590 Tc
2.885 0.000 10.268 Tc
2.885 0.000 14.680 Tc
2.885 2.885 2.370 Tc
2.885 2.885 6.720 Tc
2.885 2.885 11.459 Tc
2.885 2.885 15.809 Tc
```

***

# 2
SiTc4: calculated powder diffraction line list (Cu Ka), based on DFT lattice parameters and positions (PBE).
Lines closer than 0.1° are merged.

Top 10 peaks for 2θ = 10–90°, in order of falling intensity:
2θ = 42.2°, I 100; 2θ = 39.2°, I 32; 2θ = 42.6°, I 22; 2θ = 73.1°, I 19; 2θ = 59.3°, I 16; 2θ = 77.7°, I 13; 2θ = 76.8°, I 8; 2θ = 38.5°, I 8; 2θ = 63.1°, I 8; 2θ = 79.1°, I 7

Structure:
```
SiTc4
1.0
0.000 2.298 10.608
1.474 0.000 10.608
1.474 2.298 0.000
Si Tc
1 4
Cartesian
0.000 0.000 0.000 Si
1.474 2.298 4.184 Tc
1.474 2.298 8.643 Tc
1.474 2.298 12.573 Tc
1.474 2.298 17.032 Tc
```